[1]
Simulated XRD peak list of Li9Mn2Co5O16 for λ = 1.5418 Å (Cu Kα), from a GGA+U-relaxed structure.
No peak broadening, texture or thermal motion is included.

Structure:
Cell lengths 2.9833, 5.1066, 19.6870 Å; angles 91.60, 93.22, 104.77 degrees
Space group P1 (No. 1)
Symmetry-distinct sites (fractional):
Li 0.0000 0.0000 0.0000 x1
Li 0.0491 0.2917 0.8151 x1
Li 0.1684 0.9204 0.4404 x1
Li 0.2627 0.5356 0.0568 x1
Li 0.4191 0.1739 0.6898 x1
Li 0.5429 0.7953 0.3136 x1
Li 0.6659 0.4102 0.9393 x1
Li 0.7960 0.0443 0.5653 x1
Li 0.9353 0.6818 0.1904 x1
Mn 0.6073 0.1101 0.1214 x1
Mn 0.8559 0.3609 0.3772 x1
Co 0.1087 0.6099 0.6279 x1
Co 0.2194 0.2241 0.2516 x1
Co 0.3636 0.8617 0.8807 x1
Co 0.4841 0.4856 0.5043 x1
Co 0.7366 0.7303 0.7530 x1
O 0.0291 0.1134 0.9038 x1
O 0.0911 0.4691 0.7170 x1
O 0.1240 0.7453 0.5374 x1
O 0.1613 0.0882 0.3421 x1
O 0.2309 0.3532 0.1571 x1
O 0.3231 0.7084 0.9587 x1
O 0.3750 0.9904 0.7879 x1
O 0.4228 0.3472 0.5943 x1
O 0.5463 0.6285 0.4116 x1
O 0.5820 0.9700 0.2170 x1
O 0.6434 0.2671 0.0389 x1
O 0.6756 0.5965 0.8420 x1
O 0.7893 0.8693 0.6609 x1
O 0.8378 0.2208 0.4688 x1
O 0.8610 0.4932 0.2835 x1
O 0.9921 0.8680 0.0985 x1

Peak list (10 most intense, 15 to 90 degrees two-theta, sorted by position)
| d_spacing | 2θ (°) | Rel. int. |
| --- | --- | --- |
| 4.835 | 18.35 | 100.0 |
| 2.574 | 34.86 | 17.2 |
| 2.489 | 36.09 | 13.9 |
| 2.455 | 36.61 | 11.3 |
| 2.158 | 41.87 | 32.2 |
| 2.065 | 43.84 | 27.5 |
| 2.028 | 44.67 | 25.3 |
| 1.494 | 62.14 | 7.9 |
| 1.490 | 62.31 | 8.1 |
| 1.481 | 62.72 | 7.6 |

***

[2]
Simulated XRD peak list of BaMnO3 for λ = 1.5418 Å (Cu Kα), from a GGA+U-relaxed structure.
No peak broadening, texture or thermal motion is included.

Structure:
Cell lengths 5.8007, 5.8007, 4.9341 Å; angles 90.00, 90.00, 120.00 degrees
Space group P6_3/mmc (No. 194)
Symmetry-distinct sites (fractional):
Ba 0.3333 0.6667 0.2500 x2
Mn 0.0000 0.0000 0.0000 x2
O 0.1485 0.2970 0.7500 x6

Peak list (10 most intense, 15 to 90 degrees two-theta, sorted by position)
| d_spacing | 2θ (°) | Rel. int. |
| --- | --- | --- |
| 3.520 | 25.30 | 100.0 |
| 2.900 | 30.83 | 86.3 |
| 2.238 | 40.29 | 65.0 |
| 2.214 | 40.75 | 30.7 |
| 1.772 | 51.58 | 24.6 |
| 1.760 | 51.95 | 25.7 |
| 1.675 | 54.82 | 16.1 |
| 1.505 | 61.64 | 23.4 |
| 1.450 | 64.23 | 16.3 |
| 1.341 | 70.19 | 13.1 |

***

[3]
Simulated XRD peak list of NaV3P3O12 for λ = 1.5418 Å (Cu Kα), from a GGA+U-relaxed structure.
No peak broadening, texture or thermal motion is included.

Structure:
Cell lengths 10.6789, 13.3603, 6.5684 Å; angles 90.00, 90.00, 90.00 degrees
Space group Imma (No. 74)
Symmetry-distinct sites (fractional):
Na 0.0000 0.2500 0.1006 x4
V 0.0000 0.0000 0.5000 x4
V 0.2500 0.1360 0.7500 x8
P 0.0000 0.2500 0.5834 x4
P 0.2500 0.0735 0.2500 x8
O 0.0000 0.1555 0.4530 x8
O 0.1152 0.2500 0.7339 x8
O 0.1406 0.0060 0.7063 x16
O 0.2148 0.1355 0.0646 x16

Peak list (10 most intense, 15 to 90 degrees two-theta, sorted by position)
| d_spacing | 2θ (°) | Rel. int. |
| --- | --- | --- |
| 5.895 | 15.03 | 35.9 |
| 5.595 | 15.84 | 84.8 |
| 5.339 | 16.60 | 40.6 |
| 3.130 | 28.52 | 27.2 |
| 2.832 | 31.60 | 100.0 |
| 2.797 | 31.99 | 83.4 |
| 2.670 | 33.57 | 43.2 |
| 2.246 | 40.16 | 26.5 |
| 1.815 | 50.27 | 22.8 |
| 1.760 | 51.94 | 34.5 |

***

[4]
Simulated XRD peak list of Li5V5O12 for λ = 1.5418 Å (Cu Kα), from a GGA+U-relaxed structure.
No peak broadening, texture or thermal motion is included.

Structure:
Cell lengths 5.0901, 5.1025, 19.7808 Å; angles 87.33, 85.36, 60.52 degrees
Space group P1 (No. 1)
Symmetry-distinct sites (fractional):
Li 0.0000 0.0000 0.0000 x1
Li 0.0317 0.6828 0.8765 x1
Li 0.1420 0.0001 0.6235 x1
Li 0.2238 0.3290 0.3766 x1
Li 0.2857 0.6721 0.1235 x1
Li 0.3599 0.9954 0.8765 x1
Li 0.5041 0.9990 0.5006 x1
Li 0.5480 0.6802 0.3768 x1
Li 0.6399 0.9935 0.1236 x1
Li 0.7885 0.6770 0.6237 x1
V 0.0792 0.3390 0.7503 x1
V 0.1638 0.6745 0.4981 x1
V 0.2469 0.0044 0.2497 x1
V 0.3361 0.3282 0.9991 x1
V 0.4194 0.6633 0.7506 x1
V 0.5872 0.3340 0.2499 x1
V 0.6669 0.6668 0.0013 x1
V 0.7474 0.0058 0.7502 x1
V 0.8298 0.3294 0.5014 x1
V 0.9182 0.6691 0.2504 x1
O 0.0301 0.3522 0.9483 x1
O 0.0729 0.9981 0.8061 x1
O 0.0930 0.6731 0.6954 x1
O 0.1091 0.3565 0.5533 x1
O 0.1672 0.9871 0.4468 x1
O 0.2381 0.6591 0.3049 x1
O 0.2698 0.3435 0.1951 x1
O 0.3663 0.9701 0.0554 x1
O 0.3732 0.3334 0.8052 x1
O 0.3785 0.6494 0.9473 x1
O 0.4273 0.9997 0.6951 x1
O 0.4716 0.6460 0.5526 x1
O 0.5066 0.3656 0.4477 x1
O 0.5636 0.9963 0.3059 x1
O 0.5965 0.6800 0.1954 x1
O 0.6161 0.3520 0.0527 x1
O 0.6603 0.9750 0.9451 x1
O 0.7371 0.6681 0.8056 x1
O 0.7943 0.3350 0.6947 x1
O 0.8577 0.9726 0.5543 x1
O 0.8877 0.6320 0.4459 x1
O 0.9008 0.3571 0.3051 x1
O 0.9337 0.9800 0.1941 x1
O 0.9734 0.6492 0.0524 x1

Peak list (10 most intense, 15 to 90 degrees two-theta, sorted by position)
| d_spacing | 2θ (°) | Rel. int. |
| --- | --- | --- |
| 4.929 | 18.00 | 100.0 |
| 2.534 | 35.42 | 11.2 |
| 2.509 | 35.79 | 20.7 |
| 2.118 | 42.68 | 25.7 |
| 2.093 | 43.22 | 49.1 |
| 1.499 | 61.88 | 12.7 |
| 1.494 | 62.15 | 6.3 |
| 1.481 | 62.76 | 6.8 |
| 1.477 | 62.93 | 6.4 |
| 1.467 | 63.39 | 6.5 |

***

Q: What is the formula in the fourth record?
A: Li5V5O12